# 1
This entry pairs a crystal structure of Ti4Zn5Pd2 with its computed X-ray diffraction stick pattern. Radiation: CuKα. Structure: a structure optimized by DFT (GGA-PBE).
No peak broadening, texture or thermal motion is included.

Principal peaks in the range 2θ from 15° to 90°, by intensity:
index	2θ/deg	d/Å	I_rel
1 0 -4	40.53	2.226	100
3 0 -1	39.78	2.266	71
2 0 3	40.65	2.219	70
0 1 0	33.28	2.692	35
1 1 2	41.43	2.180	34
2 1 0	42.61	2.122	24
0 1 2	38.76	2.323	23
0 1 3	44.80	2.023	20
1 2 -4	84.01	1.152	19
1 1 1	37.40	2.405	18

Cell and atoms:
Cell lengths 6.9121, 2.6920, 9.2190 Å; angles 90.00, 93.82, 90.00 degrees
Space group P2/m (No. 10)
One atom of each set of equivalent atoms:
Ti  0.1489  0.0000  0.3931 [2 per cell]
Ti  0.2832  0.0000  0.9514 [2 per cell]
Zn  0.2098  0.5000  0.6664 [2 per cell]
Zn  0.4358  0.5000  0.2110 [2 per cell]
Zn  0.5000  0.5000  0.5000 [1 per cell]
Pd  0.0594  0.5000  0.1439 [2 per cell]

# 2
This entry pairs a crystal structure of Ti2Zn2Pd3 with its computed X-ray diffraction stick pattern. Radiation: CuKα. Structure: a structure optimized by DFT (GGA-PBE).
No peak broadening, texture or thermal motion is included.

Principal peaks in the range 2θ from 15° to 90°, by intensity:
index	2θ/deg	d/Å	I_rel
1 7 0	39.46	2.284	100
1 1 1	44.92	2.018	80
0 8 1	42.01	2.151	74
1 15 1	71.20	1.324	34
0 6 1	37.69	2.386	32
1 7 2	79.32	1.208	24
2 8 1	80.26	1.196	21
0 14 0	48.52	1.876	20
1 9 0	44.19	2.049	14
0 0 2	65.60	1.423	13

Cell and atoms:
Cell lengths 2.8783, 26.2665, 2.8466 Å; angles 90.00, 90.00, 90.00 degrees
Space group Cmmm (No. 65)
One atom of each set of equivalent atoms:
Ti  0.0000  0.2057  0.0000 [4 per cell]
Zn  0.0000  0.0663  0.0000 [4 per cell]
Pd  0.0000  0.3663  0.5000 [4 per cell]
Pd  0.0000  0.5000  0.5000 [2 per cell]

# 3
This entry pairs a crystal structure of TiZn3Pd6 with its computed X-ray diffraction stick pattern. Radiation: CuKα. Structure: a structure optimized by DFT (GGA-PBE).
No peak broadening, texture or thermal motion is included.

Principal peaks in the range 2θ from 15° to 90°, by intensity:
index	2θ/deg	d/Å	I_rel
3 1 -1	40.27	2.240	100
1 1 3	40.10	2.249	99
0 2 0	44.79	2.024	38
2 0 -4	44.12	2.053	37
4 0 2	51.08	1.788	24
2 2 -4	64.68	1.441	23
4 2 2	70.25	1.340	18
3 3 -1	79.49	1.206	13
5 1 -5	78.65	1.217	13
1 3 3	79.38	1.207	13

Cell and atoms:
Cell lengths 8.2260, 4.0470, 8.9753 Å; angles 90.00, 96.12, 90.00 degrees
Space group P2_1/m (No. 11)
One atom of each set of equivalent atoms:
Ti  0.0577  0.2500  0.3798 [2 per cell]
Zn  0.2477  0.2500  0.0167 [2 per cell]
Zn  0.3497  0.7500  0.8088 [2 per cell]
Zn  0.4512  0.2500  0.6027 [2 per cell]
Pd  0.0618  0.7500  0.9052 [2 per cell]
Pd  0.1493  0.7500  0.2133 [2 per cell]
Pd  0.1579  0.2500  0.7016 [2 per cell]
Pd  0.2503  0.7500  0.5114 [2 per cell]
Pd  0.3666  0.2500  0.3100 [2 per cell]
Pd  0.4576  0.7500  0.1015 [2 per cell]